Entry 1:
Simulated powder diffraction line list of Er2AgPdO5 for a wavelength of 1.5418 Å, from a crystal structure in Alexandria, relaxed with GGA-PBE.
Intensities are scaled so that the largest is 100.

Atomic structure:
a b c (Å): 6.475 6.475 5.757
angles (deg): 90.00 90.00 90.00
Positions (direct):
Er 0.173 0.327 0.000
Er 0.327 0.827 0.000
Er 0.673 0.173 0.000
Er 0.827 0.673 0.000
Ag 0.000 0.000 0.500
Ag 0.500 0.500 0.500
Pd 0.000 0.500 0.500
Pd 0.500 0.000 0.500
O 0.000 0.000 0.000
O 0.139 0.639 0.236
O 0.139 0.639 0.764
O 0.361 0.139 0.236
O 0.361 0.139 0.764
O 0.500 0.500 0.000
O 0.639 0.861 0.236
O 0.639 0.861 0.764
O 0.861 0.361 0.236
O 0.861 0.361 0.764

Peak list (6 most intense, 2θ = 10–90°, in order of rising 2θ)
30.88 deg, I 24.5; 31.07 deg, I 42.8; 31.71 deg, I 100.0; 34.68 deg, I 56.8; 39.36 deg, I 21.4; 44.37 deg, I 42.1



Entry 2:
Simulated powder diffraction line list of TaIn2Sb for a wavelength of 1.5418 Å, from a crystal structure in Alexandria, relaxed with GGA-PBE.
Intensities are scaled so that the largest is 100.

Atomic structure:
a b c (Å): 3.791 3.791 6.246
angles (deg): 90.00 90.00 90.00
Positions (direct):
Ta 0.000 0.000 0.000
In 0.000 0.000 0.502
In 0.500 0.500 0.257
Sb 0.500 0.500 0.790

Peak list (6 most intense, 2θ = 10–90°, in order of rising 2θ)
33.43 deg, I 70.3; 37.30 deg, I 100.0; 48.00 deg, I 25.2; 62.31 deg, I 43.7; 69.69 deg, I 13.8; 80.04 deg, I 11.1



Entry 3:
Simulated powder diffraction line list of Th6Hg2Ir for a wavelength of 1.5418 Å, from a crystal structure in Alexandria, relaxed with GGA-PBE.
Intensities are scaled so that the largest is 100.

Atomic structure:
a b c (Å): 6.345 8.137 12.087
angles (deg): 90.00 120.37 90.00
Positions (direct):
Th 0.066 0.189 0.453
Th 0.066 0.311 0.953
Th 0.324 0.664 0.451
Th 0.324 0.836 0.951
Th 0.375 0.024 0.242
Th 0.375 0.476 0.742
Th 0.625 0.524 0.258
Th 0.625 0.976 0.758
Th 0.676 0.164 0.049
Th 0.676 0.336 0.549
Th 0.934 0.689 0.047
Th 0.934 0.811 0.547
Hg 0.143 0.121 0.744
Hg 0.143 0.379 0.244
Hg 0.857 0.621 0.756
Hg 0.857 0.879 0.256
Ir 0.500 0.000 0.500
Ir 0.500 0.500 0.000

Peak list (6 most intense, 2θ = 10–90°, in order of rising 2θ)
27.82 deg, I 60.4; 31.07 deg, I 97.7; 31.29 deg, I 97.1; 31.62 deg, I 77.8; 34.40 deg, I 61.1; 36.01 deg, I 100.0



Entry 4:
Simulated powder diffraction line list of TaNb6Tc for a wavelength of 1.5418 Å, from a crystal structure in Alexandria, relaxed with GGA-PBE.
Intensities are scaled so that the largest is 100.

Atomic structure:
a b c (Å): 5.831 5.831 5.831
angles (deg): 110.71 110.71 110.71
Positions (direct):
Ta 0.000 0.000 0.000
Nb 0.251 0.251 0.744
Nb 0.251 0.744 0.251
Nb 0.256 0.749 0.749
Nb 0.744 0.251 0.251
Nb 0.749 0.256 0.749
Nb 0.749 0.749 0.256
Tc 0.500 0.500 0.500

Peak list (6 most intense, 2θ = 10–90°, in order of rising 2θ)
34.55 deg, I 38.2; 37.49 deg, I 100.0; 43.92 deg, I 39.0; 51.90 deg, I 23.6; 59.09 deg, I 16.0; 67.65 deg, I 17.0